The following is a calculated powder XRD pattern of Er3RhO6. It was derived from a cell relaxed with PBE, using a wavelength of 1.5418 Å.
Neutral-atom scattering factors, no anomalous dispersion.

The 12 most intense peaks (5 to 70 degrees two-theta), in order of rising 2θ:
2θ (°), I (rel.)
25.06, 42.0
27.53, 15.1
30.16, 100.0
31.54, 33.0
33.57, 66.6
43.44, 18.2
44.95, 35.0
49.43, 12.0
51.31, 30.1
55.26, 15.1
57.93, 17.1
62.72, 12.8

Structural model:
a = 6.4977 Å, b = 6.4977 Å, c = 6.4977 Å
α = 92.95°, β = 92.95°, γ = 92.95°
Fractional positions:
Er1 0.0660 0.5773 0.7562
Er2 0.2438 0.9340 0.4227
Er3 0.4227 0.2438 0.9340
Er4 0.5773 0.7562 0.0660
Er5 0.7562 0.0660 0.5773
Er6 0.9340 0.4227 0.2438
Rh1 0.0000 0.0000 0.0000
Rh2 0.5000 0.5000 0.5000
O1 0.0404 0.9102 0.6929
O2 0.0898 0.3071 0.9596
O3 0.1929 0.5843 0.4309
O4 0.3071 0.9596 0.0898
O5 0.4157 0.5691 0.8071
O6 0.4309 0.1929 0.5843
O7 0.5691 0.8071 0.4157
O8 0.5843 0.4309 0.1929
O9 0.6929 0.0404 0.9102
O10 0.8071 0.4157 0.5691
O11 0.9102 0.6929 0.0404
O12 0.9596 0.0898 0.3071


The following is a calculated powder XRD pattern of DyTh2Pt3. It was derived from a cell relaxed with PBE, using a wavelength of 1.5418 Å.
Neutral-atom scattering factors, no anomalous dispersion.

The 8 most intense peaks (5 to 70 degrees two-theta), in order of rising 2θ:
2θ (°), I (rel.)
13.58, 0.8
30.41, 100.0
43.14, 13.0
43.54, 50.8
43.91, 12.5
53.70, 13.9
54.36, 13.4
63.27, 12.8

Structural model:
a = 13.8863 Å, b = 13.2400 Å, c = 7.1789 Å
α = 79.69°, β = 69.73°, γ = 30.57°
Fractional positions:
Dy1 0.0417 0.0417 0.2083
Dy2 0.2083 0.2083 0.0417
Dy3 0.7917 0.7917 0.9583
Dy4 0.9583 0.9583 0.7917
Th1 0.1261 0.1261 0.6239
Th2 0.2922 0.2922 0.4578
Th3 0.3761 0.3761 0.8739
Th4 0.4578 0.4578 0.2922
Th5 0.5422 0.5422 0.7078
Th6 0.6239 0.6239 0.1261
Th7 0.7078 0.7078 0.5422
Th8 0.8739 0.8739 0.3761
Pt1 0.0429 0.5401 0.2065
Pt2 0.1232 0.6268 0.6268
Pt3 0.2065 0.7104 0.0429
Pt4 0.2896 0.7935 0.4599
Pt5 0.3732 0.8768 0.8768
Pt6 0.4599 0.9571 0.2896
Pt7 0.5401 0.0429 0.7104
Pt8 0.6268 0.1232 0.1232
Pt9 0.7104 0.2065 0.5401
Pt10 0.7935 0.2896 0.9571
Pt11 0.8768 0.3732 0.3732
Pt12 0.9571 0.4599 0.7935


The following is a calculated powder XRD pattern of PaCrHg. It was derived from a cell relaxed with PBE, using a wavelength of 1.5418 Å.
Neutral-atom scattering factors, no anomalous dispersion.

The 12 most intense peaks (5 to 70 degrees two-theta), in order of rising 2θ:
2θ (°), I (rel.)
26.53, 38.9
27.73, 57.1
30.24, 100.0
31.58, 97.3
34.33, 94.0
34.60, 92.5
35.20, 80.1
36.13, 45.7
37.95, 59.4
39.72, 53.9
40.04, 44.7
52.71, 38.3

Structural model:
a = 4.6312 Å, b = 5.2528 Å, c = 5.6594 Å
α = 108.33°, β = 102.75°, γ = 90.09°
Fractional positions:
Pa1 0.1884 0.4285 0.2778
Pa2 0.8116 0.5715 0.7222
Cr1 0.3404 0.6018 0.8285
Cr2 0.6596 0.3982 0.1715
Hg1 0.3002 0.0587 0.7026
Hg2 0.6998 0.9413 0.2974


The following is a calculated powder XRD pattern of GeCI. It was derived from a cell relaxed with PBE, using a wavelength of 1.5418 Å.
Neutral-atom scattering factors, no anomalous dispersion.

The 12 most intense peaks (5 to 70 degrees two-theta), in order of rising 2θ:
2θ (°), I (rel.)
9.95, 13.6
19.97, 100.0
31.79, 54.5
32.33, 29.3
34.36, 13.7
35.89, 28.3
35.98, 10.0
39.71, 22.4
40.59, 15.3
49.45, 11.1
56.29, 15.0
60.38, 11.2

Structural model:
a = 3.2674 Å, b = 3.2692 Å, c = 9.0812 Å
α = 89.82°, β = 79.74°, γ = 60.03°
Fractional positions:
Ge1 0.0000 0.0000 0.0000
C1 0.3330 0.3336 0.0003
I1 0.2904 0.7773 0.5040


The following is a calculated powder XRD pattern of Fe4Co. It was derived from a cell relaxed with PBE, using a wavelength of 1.5418 Å.
Neutral-atom scattering factors, no anomalous dispersion.

The 5 most intense peaks (5 to 70 degrees two-theta), in order of rising 2θ:
2θ (°), I (rel.)
44.81, 25.6
44.94, 25.4
45.15, 100.0
65.33, 15.0
66.18, 7.2

Structural model:
a = 10.3126 Å, b = 10.2115 Å, c = 2.4622 Å
α = 85.45°, β = 80.78°, γ = 13.77°
Fractional positions:
Fe1 0.0991 0.0991 0.9009
Fe2 0.3003 0.3003 0.6997
Fe3 0.6997 0.6997 0.3003
Fe4 0.9009 0.9009 0.0991
Co1 0.5000 0.5000 0.5000


The following is a calculated powder XRD pattern of Tb6C2S3. It was derived from a cell relaxed with PBE, using a wavelength of 1.5418 Å.
Neutral-atom scattering factors, no anomalous dispersion.

The 12 most intense peaks (5 to 70 degrees two-theta), in order of rising 2θ:
2θ (°), I (rel.)
27.53, 39.7
28.16, 18.2
29.53, 73.8
31.54, 17.0
32.34, 100.0
35.05, 19.1
38.17, 13.1
44.11, 13.8
48.03, 23.6
48.57, 47.3
56.74, 30.7
59.56, 17.8

Structural model:
a = 19.5559 Å, b = 19.5559 Å, c = 19.5559 Å
α = 11.00°, β = 11.00°, γ = 11.00°
Fractional positions:
Tb1 0.0889 0.0889 0.0889
Tb2 0.1988 0.1988 0.1988
Tb3 0.3627 0.3627 0.3627
Tb4 0.6373 0.6373 0.6373
Tb5 0.8012 0.8012 0.8012
Tb6 0.9111 0.9111 0.9111
C1 0.4468 0.4468 0.4468
C2 0.5532 0.5532 0.5532
S1 0.0000 0.0000 0.0000
S2 0.2751 0.2751 0.2751
S3 0.7249 0.7249 0.7249


The following is a calculated powder XRD pattern of CsNaTcN2. It was derived from a cell relaxed with PBE, using a wavelength of 1.5418 Å.
Neutral-atom scattering factors, no anomalous dispersion.

The 12 most intense peaks (5 to 70 degrees two-theta), in order of rising 2θ:
2θ (°), I (rel.)
21.48, 44.7
26.72, 65.8
27.02, 53.5
28.46, 32.3
29.17, 78.1
30.68, 55.2
31.56, 85.8
33.41, 100.0
44.10, 39.2
45.77, 32.2
56.15, 23.3
57.50, 22.0

Structural model:
a = 6.8540 Å, b = 6.8540 Å, c = 9.1950 Å
α = 113.61°, β = 113.61°, γ = 30.51°
Fractional positions:
Cs1 0.1599 0.1599 0.1017
Cs2 0.8401 0.8401 0.8983
Na1 0.1679 0.1679 0.5387
Na2 0.8321 0.8321 0.4613
Tc1 0.4861 0.4861 0.3230
Tc2 0.5139 0.5139 0.6770
N1 0.0741 0.0741 0.7106
N2 0.3762 0.3762 0.6556
N3 0.6238 0.6238 0.3444
N4 0.9259 0.9259 0.2894


The following is a calculated powder XRD pattern of NdSm3Ni. It was derived from a cell relaxed with PBE, using a wavelength of 1.5418 Å.
Neutral-atom scattering factors, no anomalous dispersion.

The 12 most intense peaks (5 to 70 degrees two-theta), in order of rising 2θ:
2θ (°), I (rel.)
29.57, 29.1
30.21, 28.8
30.63, 100.0
30.88, 62.8
32.10, 52.3
32.93, 23.5
33.99, 58.8
34.63, 22.4
48.58, 26.0
58.68, 20.3
58.85, 23.7
59.43, 18.9

Structural model:
a = 6.3324 Å, b = 6.3324 Å, c = 13.9849 Å
α = 111.90°, β = 111.90°, γ = 34.43°
Fractional positions:
Nd1 0.0000 0.0000 0.0000
Nd2 0.1222 0.1222 0.2801
Sm1 0.1089 0.1089 0.6227
Sm2 0.2296 0.2296 0.8980
Sm3 0.4418 0.4418 0.3845
Sm4 0.4458 0.4458 0.7569
Sm5 0.7851 0.7851 0.1425
Sm6 0.7885 0.7885 0.5179
Ni1 0.4648 0.4648 0.1368
Ni2 0.7634 0.7634 0.7623